1.
Pm3Y2PuSe6: calculated X-ray powder pattern (Cu Kα, 1.54184 Å), based on a PBE-relaxed structure.

Largest 12 diffraction maxima, by intensity, 2θ from 10° to 90°:
| d_spacing | I_rel |
| --- | --- |
| 2.934 | 100 |
| 2.078 | 25 |
| 2.072 | 25 |
| 1.688 | 13 |
| 2.086 | 13 |
| 2.062 | 12 |
| 1.467 | 12 |
| 1.311 | 11 |
| 1.314 | 11 |
| 1.193 | 8 |
| 3.375 | 8 |
| 1.697 | 7 |

Atomic structure:
a = 9.290 Å, b = 9.290 Å, c = 8.346 Å
α = 103.22°, β = 103.22°, γ = 25.65°
Positions (direct):
Pm 0.000 0.000 0.000
Pm 0.335 0.335 0.665
Pm 0.665 0.665 0.335
Y 0.336 0.336 0.172
Y 0.664 0.664 0.828
Pu 0.000 0.000 0.500
Se 0.166 0.166 0.590
Se 0.170 0.170 0.078
Se 0.498 0.498 0.252
Se 0.502 0.502 0.748
Se 0.830 0.830 0.922
Se 0.834 0.834 0.410

---

2.
In7SnBi5: calculated X-ray powder pattern (Cu Kα, 1.54184 Å), based on a PBE-relaxed structure.

Largest 12 diffraction maxima, by intensity, 2θ from 10° to 90°:
| d_spacing | I_rel |
| --- | --- |
| 2.860 | 100 |
| 2.837 | 57 |
| 2.497 | 55 |
| 2.876 | 48 |
| 1.777 | 21 |
| 2.961 | 17 |
| 1.507 | 17 |
| 2.624 | 13 |
| 2.121 | 13 |
| 1.394 | 11 |
| 2.067 | 11 |
| 1.453 | 11 |

Atomic structure:
a = 9.215 Å, b = 9.215 Å, c = 4.996 Å
α = 105.32°, β = 105.32°, γ = 87.40°
Positions (direct):
In 0.000 0.000 0.000
In 0.153 0.573 0.864
In 0.573 0.153 0.864
In 0.577 0.577 0.080
In 0.740 0.740 0.744
In 0.740 0.994 0.370
In 0.994 0.740 0.370
Sn 0.370 0.370 0.361
Bi 0.195 0.195 0.687
Bi 0.361 0.977 0.167
Bi 0.365 0.737 0.549
Bi 0.737 0.365 0.549
Bi 0.977 0.361 0.167

---

3.
Na3Ti2O3F4: calculated X-ray powder pattern (Cu Kα, 1.54184 Å), based on a PBE-relaxed structure.

Largest 12 diffraction maxima, by intensity, 2θ from 10° to 90°:
| d_spacing | I_rel |
| --- | --- |
| 2.786 | 100 |
| 1.902 | 70 |
| 1.980 | 64 |
| 2.047 | 62 |
| 4.950 | 62 |
| 2.743 | 61 |
| 3.735 | 56 |
| 2.846 | 56 |
| 4.009 | 52 |
| 1.393 | 33 |
| 1.371 | 30 |
| 1.614 | 29 |

Atomic structure:
a = 10.287 Å, b = 10.287 Å, c = 10.287 Å
α = 158.69°, β = 31.52°, γ = 157.04°
Positions (direct):
Na 0.000 0.000 0.000
Na 0.074 0.884 0.190
Na 0.694 0.884 0.810
Ti 0.355 0.950 0.405
Ti 0.545 0.950 0.595
O 0.326 0.431 0.895
O 0.443 0.943 0.500
O 0.536 0.431 0.105
F 0.046 0.448 0.599
F 0.318 0.019 0.299
F 0.721 0.019 0.701
F 0.849 0.448 0.401